1.
Simulated X-ray powder pattern
Compound: Ni3MoPt3
Radiation: Cu Kα X-rays
Structure: a crystal structure in Alexandria, relaxed with PBE
Intensities are scaled so that the largest is 100.

Structure:
abc: 7.1260 7.1260 4.3601
angles: 90.00 90.00 120.00
Space group P6_3/m (No. 176)
Symmetry-distinct sites (fractional):
Ni (0.1056, 0.4877, 0.2500) x6
Mo (0.3333, 0.6667, 0.7500) x2
Pt (0.0532, 0.2554, 0.7500) x6

Main lines, by intensity (10° ≤ 2θ ≤ 90°):
d = 2.057 Å, 2θ 44.03, I 100
d = 2.180 Å, 2θ 41.42, I 26
d = 1.347 Å, 2θ 69.85, I 25
d = 2.333 Å, 2θ 38.60, I 24
d = 6.171 Å, 2θ 14.35, I 19
d = 1.146 Å, 2θ 84.58, I 18
d = 1.234 Å, 2θ 77.36, I 18
d = 2.759 Å, 2θ 32.45, I 17

***

2.
Simulated X-ray powder pattern
Compound: BeCu3
Radiation: Cu Kα X-rays
Structure: a crystal structure in Alexandria, relaxed with PBE
Intensities are scaled so that the largest is 100.

Structure:
abc: 2.7217 4.0082 8.0019
angles: 90.00 90.00 90.00
Space group Immm (No. 71)
Symmetry-distinct sites (fractional):
Be (0.0000, 0.0000, 0.0000) x2
Cu (0.0000, 0.0000, 0.5000) x2
Cu (0.0000, 0.5000, 0.2728) x4

Main lines, by intensity (10° ≤ 2θ ≤ 90°):
d = 1.962 Å, 2θ 46.27, I 100
d = 2.002 Å, 2θ 45.29, I 51
d = 2.221 Å, 2θ 40.63, I 25
d = 2.577 Å, 2θ 34.82, I 18
d = 1.149 Å, 2θ 84.30, I 15
d = 1.126 Å, 2θ 86.46, I 14
d = 1.416 Å, 2θ 65.98, I 13
d = 4.001 Å, 2θ 22.22, I 13